Structure and theoretical powder X-ray diffraction pattern of YHoZrSc (a crystal structure in Alexandria, relaxed with GGA-PBE; Cu Kα X-rays).
No peak broadening, texture or thermal motion is included.

Atomic structure:
Cell lengths 4.768, 4.768, 9.541 Å; angles 90.00, 90.00, 90.00 degrees
Space group I-4m2 (No. 119)
Asymmetric unit:
Y: 0.000 0.000 0.000 x2
Ho: 0.000 0.500 0.750 x2
Zr: 0.000 0.500 0.250 x2
Sc: 0.000 0.000 0.500 x2

Principal peaks in the range 5° ≤ 2θ ≤ 70°, low angle first:
2θ 20.83, d = 4.265 Å, intensity 13, hkl 1 0 1
2θ 32.52, d = 2.753 Å, intensity 100, hkl 1 1 2
2θ 37.73, d = 2.384 Å, intensity 50, hkl 2 0 0
2θ 54.42, d = 1.686 Å, intensity 34, hkl 2 2 0
2θ 64.84, d = 1.438 Å, intensity 39, hkl 3 1 2
2θ 68.11, d = 1.377 Å, intensity 11, hkl 2 2 4

***

Structure and theoretical powder X-ray diffraction pattern of ZrAlTl2 (a crystal structure in Alexandria, relaxed with GGA-PBE; Cu Kα X-rays).
No peak broadening, texture or thermal motion is included.

Atomic structure:
Cell lengths 11.572, 3.280, 5.469 Å; angles 90.00, 117.72, 90.00 degrees
Space group Cm (No. 8)
Asymmetric unit:
Zr: 0.000 0.000 0.000 x2
Al: 0.270 0.000 0.956 x2
Tl: 0.021 0.500 0.540 x2
Tl: 0.256 0.500 0.421 x2

Principal peaks in the range 5° ≤ 2θ ≤ 70°, low angle first:
2θ 18.33, d = 4.841 Å, intensity 77, hkl 0 0 1
2θ 28.57, d = 3.124 Å, intensity 42, hkl 1 1 0
2θ 35.04, d = 2.561 Å, intensity 66, hkl 4 0 0
2θ 36.37, d = 2.470 Å, intensity 100, hkl 1 1 1
2θ 36.51, d = 2.461 Å, intensity 93, hkl 3 1 -1
2θ 37.41, d = 2.404 Å, intensity 42, hkl 4 0 -2

***

Structure and theoretical powder X-ray diffraction pattern of Zr2Be2CuNi5 (a crystal structure in Alexandria, relaxed with GGA-PBE; Cu Kα X-rays).
No peak broadening, texture or thermal motion is included.

Atomic structure:
Cell lengths 8.656, 8.656, 3.315 Å; angles 90.00, 90.00, 90.00 degrees
Space group P4/mbm (No. 127)
Asymmetric unit:
Zr: 0.182 0.318 0.000 x4
Be: 0.112 0.612 0.000 x4
Cu: 0.000 0.000 0.000 x2
Ni: 0.000 0.500 0.500 x2
Ni: 0.064 0.786 0.500 x8

Principal peaks in the range 5° ≤ 2θ ≤ 70°, low angle first:
2θ 35.66, d = 2.518 Å, intensity 79, hkl 2 1 1
2θ 40.10, d = 2.249 Å, intensity 48, hkl 2 2 1
2θ 42.84, d = 2.111 Å, intensity 100, hkl 3 1 1
2θ 43.09, d = 2.099 Å, intensity 72, hkl 4 1 0
2θ 46.72, d = 1.944 Å, intensity 31, hkl 3 2 1
2θ 55.43, d = 1.658 Å, intensity 26, hkl 0 0 2